(1)
Structure and theoretical X-ray powder pattern of YHo2Fe2Co6Ni (a DFT-relaxed cell (GGA-PBE, OQMD); Cu Kα, 1.54184 Å).

Top 12 peaks for 2θ = 15–90°, sorted by position:
(1 0 7), 2θ = 33.32°, rel. 48.3
(1 1 0), 2θ = 36.04°, rel. 55.7
(0 1 8), 2θ = 36.40°, rel. 40.5
(0 2 1), 2θ = 42.03°, rel. 39.5
(1 1 6), 2θ = 42.72°, rel. 100.0
(0 2 4), 2θ = 44.61°, rel. 19.0
(2 0 5), 2θ = 46.09°, rel. 23.1
(0 1 11), 2θ = 46.54°, rel. 22.7
(2 1 7), 2θ = 63.07°, rel. 15.5
(3 0 6), 2θ = 69.40°, rel. 22.0
(2 0 14), 2θ = 69.96°, rel. 16.0
(2 2 0), 2θ = 76.45°, rel. 23.6

```
data_YHo2Fe2Co6Ni
_cell_length_a 4.9840
_cell_length_b 4.9840
_cell_length_c 24.0666
_cell_angle_alpha 90.00
_cell_angle_beta 90.00
_cell_angle_gamma 120.00
_symmetry_space_group_name_H-M 'R -3 m'
_symmetry_Int_Tables_number 166
_symmetry_space_group_name_Hall '-R 3 2"'
loop_
_atom_site_label
_atom_site_type_symbol
_atom_site_fract_x
_atom_site_fract_y
_atom_site_fract_z
_atom_site_occupancy
Y1 Y 0.0000 0.0000 0.0000 1
Ho1 Ho 0.0000 0.0000 0.1402 1
Fe1 Fe 0.0000 0.0000 0.3341 1
Co1 Co 0.0016 0.5008 0.9188 1
Ni1 Ni 0.0000 0.0000 0.5000 1
```

(2)
Structure and theoretical X-ray powder pattern of Pm2C2S (a DFT-relaxed cell (GGA-PBE, OQMD); Cu Kα, 1.54184 Å).

Top 12 peaks for 2θ = 15–90°, sorted by position:
(4 0 0), 2θ = 25.93°, rel. 38.9
(2 0 -2), 2θ = 26.49°, rel. 35.0
(1 1 1), 2θ = 27.71°, rel. 58.9
(3 1 -1), 2θ = 30.51°, rel. 100.0
(2 0 2), 2θ = 32.65°, rel. 38.2
(6 0 -2), 2θ = 41.70°, rel. 20.3
(5 1 1), 2θ = 44.94°, rel. 28.7
(0 2 0), 2θ = 45.63°, rel. 39.2
(7 1 -1), 2θ = 50.48°, rel. 14.2
(5 1 -3), 2θ = 51.12°, rel. 12.7
(4 2 0), 2θ = 53.22°, rel. 10.6
(2 2 2), 2θ = 57.22°, rel. 11.4

```
data_Pm2C2S
_cell_length_a 14.2186
_cell_length_b 3.9769
_cell_length_c 6.9183
_cell_angle_alpha 90.00
_cell_angle_beta 104.84
_cell_angle_gamma 90.00
_symmetry_space_group_name_H-M 'C 1 2/c 1'
_symmetry_Int_Tables_number 15
loop_
_symmetry_equiv_pos_as_xyz
'x,y,z'
'-x,-y,-z'
'-x,y,-z+1/2'
'x,-y,z+1/2'
'x+1/2,y+1/2,z'
'-x+1/2,-y+1/2,-z'
'-x+1/2,y+1/2,-z+1/2'
'x+1/2,-y+1/2,z+1/2'
loop_
_atom_site_label
_atom_site_type_symbol
_atom_site_fract_x
_atom_site_fract_y
_atom_site_fract_z
_atom_site_occupancy
Pm1 Pm 0.1327 0.2153 0.1541 1
C1 C 0.2193 0.3399 0.5353 1
S1 S 0.0000 0.2809 0.7500 1
```

(3)
Structure and theoretical X-ray powder pattern of La3Cu3Bi4 (a DFT-relaxed cell (GGA-PBE, OQMD); Cu Kα, 1.54184 Å).

Top 12 peaks for 2θ = 15–90°, sorted by position:
(3 1 0), 2θ = 27.97°, rel. 56.7
(3 2 1), 2θ = 33.22°, rel. 100.0
(4 2 0), 2θ = 39.96°, rel. 17.5
(4 2 2), 2θ = 43.97°, rel. 24.0
(4 3 1), 2θ = 45.86°, rel. 21.3
(6 1 1), 2θ = 56.20°, rel. 17.1
(6 2 0), 2θ = 57.80°, rel. 14.4
(5 4 1), 2θ = 59.36°, rel. 12.0
(6 3 1), 2θ = 62.43°, rel. 9.0
(7 1 0), 2θ = 65.41°, rel. 8.7
(5 5 2), 2θ = 68.32°, rel. 10.3
(7 4 3), 2θ = 82.19°, rel. 8.3

```
data_La3Cu3Bi4
_cell_length_a 10.0894
_cell_length_b 10.0894
_cell_length_c 10.0894
_cell_angle_alpha 90.00
_cell_angle_beta 90.00
_cell_angle_gamma 90.00
_symmetry_space_group_name_H-M 'I -4 3 d'
_symmetry_Int_Tables_number 220
_symmetry_space_group_name_Hall 'I -4bd 2c 3'
loop_
_atom_site_label
_atom_site_type_symbol
_atom_site_fract_x
_atom_site_fract_y
_atom_site_fract_z
_atom_site_occupancy
La1 La 0.0000 0.2500 0.8750 1
Cu1 Cu 0.0000 0.2500 0.3750 1
Bi1 Bi 0.0815 0.4185 0.5815 1
```

(4)
Structure and theoretical X-ray powder pattern of Cu6Sn5 (a DFT-relaxed cell (GGA-PBE, OQMD); Cu Kα, 1.54184 Å).

Top 12 peaks for 2θ = 15–90°, sorted by position:
(3 1 1), 2θ = 30.00°, rel. 100.0
(2 0 4), 2θ = 42.75°, rel. 89.4
(5 1 0), 2θ = 43.12°, rel. 80.9
(2 4 -1), 2θ = 53.10°, rel. 17.6
(5 3 0), 2θ = 56.43°, rel. 6.2
(7 1 -1), 2θ = 59.80°, rel. 12.4
(6 2 2), 2θ = 62.34°, rel. 23.6
(4 4 3), 2θ = 70.44°, rel. 13.7
(3 3 6), 2θ = 78.29°, rel. 11.8
(7 1 4), 2θ = 78.55°, rel. 20.8
(7 3 -6), 2θ = 89.49°, rel. 8.7
(10 0 0), 2θ = 89.57°, rel. 9.0

```
data_Cu6Sn5
_cell_length_a 11.0701
_cell_length_b 7.3294
_cell_length_c 9.8921
_cell_angle_alpha 90.00
_cell_angle_beta 98.76
_cell_angle_gamma 90.00
_symmetry_space_group_name_H-M 'C 1 2/c 1'
_symmetry_Int_Tables_number 15
loop_
_symmetry_equiv_pos_as_xyz
'x,y,z'
'-x,-y,-z'
'-x,y,-z+1/2'
'x,-y,z+1/2'
'x+1/2,y+1/2,z'
'-x+1/2,-y+1/2,-z'
'-x+1/2,y+1/2,-z+1/2'
'x+1/2,-y+1/2,z+1/2'
loop_
_atom_site_label
_atom_site_type_symbol
_atom_site_fract_x
_atom_site_fract_y
_atom_site_fract_z
_atom_site_occupancy
Cu1 Cu 0.0000 0.0000 0.0000 1
Cu2 Cu 0.0000 0.1603 0.2500 1
Cu3 Cu 0.1010 0.4726 0.2025 1
Cu4 Cu 0.1936 0.0041 0.8902 1
Sn1 Sn 0.0000 0.2010 0.7500 1
Sn2 Sn 0.1088 0.3373 0.4712 1
Sn3 Sn 0.2146 0.1550 0.1422 1
```

(5)
Structure and theoretical X-ray powder pattern of Er3Zn3Ni2Au (a DFT-relaxed cell (GGA-PBE, OQMD); Cu Kα, 1.54184 Å).

Top 12 peaks for 2θ = 15–90°, sorted by position:
(0 0 1), 2θ = 23.68°, rel. 15.5
(2 0 0), 2θ = 28.93°, rel. 34.6
(1 1 1), 2θ = 34.69°, rel. 69.7
(2 0 1), 2θ = 37.72°, rel. 100.0
(2 1 0), 2θ = 38.59°, rel. 27.2
(3 0 0), 2θ = 44.01°, rel. 31.8
(2 1 1), 2θ = 45.78°, rel. 22.3
(0 0 2), 2θ = 48.45°, rel. 21.0
(3 1 0), 2θ = 53.53°, rel. 14.9
(3 1 1), 2θ = 59.32°, rel. 16.7
(3 0 2), 2θ = 67.51°, rel. 17.3
(3 2 1), 2θ = 71.15°, rel. 27.9

```
data_Er3Zn3Ni2Au
_cell_length_a 7.1278
_cell_length_b 7.1278
_cell_length_c 3.7575
_cell_angle_alpha 90.00
_cell_angle_beta 90.00
_cell_angle_gamma 120.00
_symmetry_space_group_name_H-M 'P -6 2 m'
_symmetry_Int_Tables_number 189
_symmetry_space_group_name_Hall 'P -6 -2'
loop_
_atom_site_label
_atom_site_type_symbol
_atom_site_fract_x
_atom_site_fract_y
_atom_site_fract_z
_atom_site_occupancy
Er1 Er 0.0000 0.4124 0.0000 1
Zn1 Zn 0.0000 0.7312 0.5000 1
Ni1 Ni 0.3333 0.6667 0.5000 1
Au1 Au 0.0000 0.0000 0.0000 1
```

(6)
Structure and theoretical X-ray powder pattern of Rb2Hg2Se3 (a DFT-relaxed cell (GGA-PBE, OQMD); Cu Kα, 1.54184 Å).

Top 12 peaks for 2θ = 15–90°, sorted by position:
(0 1 2), 2θ = 18.68°, rel. 40.9
(0 0 6), 2θ = 27.99°, rel. 48.6
(1 1 0), 2θ = 28.24°, rel. 87.7
(0 1 5), 2θ = 28.47°, rel. 34.0
(1 1 3), 2θ = 31.60°, rel. 100.0
(0 2 1), 2θ = 33.06°, rel. 34.4
(0 2 4), 2θ = 37.88°, rel. 36.6
(1 1 6), 2θ = 40.18°, rel. 26.7
(2 0 5), 2θ = 40.53°, rel. 54.9
(2 2 0), 2θ = 58.40°, rel. 30.9
(0 2 10), 2θ = 58.91°, rel. 27.6
(2 2 6), 2θ = 65.99°, rel. 25.2

```
data_Rb2Hg2Se3
_cell_length_a 6.3204
_cell_length_b 6.3204
_cell_length_c 19.1273
_cell_angle_alpha 90.00
_cell_angle_beta 90.00
_cell_angle_gamma 120.00
_symmetry_space_group_name_H-M 'R -3 m'
_symmetry_Int_Tables_number 166
_symmetry_space_group_name_Hall '-R 3 2"'
loop_
_atom_site_label
_atom_site_type_symbol
_atom_site_fract_x
_atom_site_fract_y
_atom_site_fract_z
_atom_site_occupancy
Rb1 Rb 0.0000 0.0000 0.0000 1
Rb2 Rb 0.0000 0.0000 0.5000 1
Hg1 Hg 0.0000 0.0000 0.1934 1
Se1 Se 0.0000 0.5000 0.0000 1
```

(7)
Structure and theoretical X-ray powder pattern of K2PrHo2Mg3Cd (a DFT-relaxed cell (GGA-PBE, OQMD); Cu Kα, 1.54184 Å).

Top 12 peaks for 2θ = 15–90°, sorted by position:
(1 0 0), 2θ = 18.23°, rel. 64.4
(0 3 1), 2θ = 21.41°, rel. 54.6
(0 0 2), 2θ = 21.78°, rel. 32.7
(1 3 1), 2θ = 28.26°, rel. 100.0
(1 0 2), 2θ = 28.54°, rel. 58.9
(1 4 0), 2θ = 30.81°, rel. 21.0
(1 2 2), 2θ = 31.16°, rel. 42.7
(2 0 0), 2θ = 36.93°, rel. 34.8
(0 6 0), 2θ = 37.32°, rel. 19.4
(0 3 3), 2θ = 37.99°, rel. 50.0
(1 3 3), 2θ = 42.43°, rel. 31.6
(2 3 3), 2θ = 54.02°, rel. 27.6

```
data_K2PrHo2Mg3Cd
_cell_length_a 4.8676
_cell_length_b 14.4582
_cell_length_c 8.1619
_cell_angle_alpha 90.00
_cell_angle_beta 90.00
_cell_angle_gamma 90.00
_symmetry_space_group_name_H-M 'A m m 2'
_symmetry_Int_Tables_number 38
loop_
_symmetry_equiv_pos_as_xyz
'x,y,z'
'-x,-y,z'
'-x,y,z'
'x,-y,z'
'x,y+1/2,z+1/2'
'-x,-y+1/2,z+1/2'
'-x,y+1/2,z+1/2'
'x,-y+1/2,z+1/2'
loop_
_atom_site_label
_atom_site_type_symbol
_atom_site_fract_x
_atom_site_fract_y
_atom_site_fract_z
_atom_site_occupancy
K1 K 0.0000 0.1678 0.0000 1
Pr1 Pr 0.5000 0.0000 0.1278 1
Ho1 Ho 0.5000 0.1877 0.6836 1
Mg1 Mg 0.0000 0.0000 0.7251 1
Mg2 Mg 0.0000 0.1073 0.4007 1
Cd1 Cd 0.5000 0.0000 0.5159 1
```